Theoretical XRD peak list
Compound: Co5Se4Br2O12
Radiation: Cu Kα X-rays
Structure: the GGA+U geometry in Alexandria

```
Co5Se4Br2O12
1.0
6.5722 0.0000 0.0000
1.1788 7.8030 0.0000
2.2691 2.9211 7.0525
Co Se Br O
5 4 2 12
Cartesian
0.0000 0.0000 0.0000
2.5680 6.6867 3.0403
4.6346 8.7272 4.6047
5.3856 1.9969 2.4478
7.4521 4.0374 4.0122
2.0653 1.9316 1.5792
4.1843 4.3686 4.7876
5.8358 6.3555 2.2649
7.9549 8.7925 5.4733
2.1114 5.2725 0.1527
7.9087 5.4516 6.8997
2.6472 8.1234 4.4795
2.6723 8.0797 1.4849
2.8108 4.7818 3.7865
3.5884 2.8918 5.4890
3.3504 1.8998 2.7331
4.6837 6.8938 3.4471
5.3364 3.8303 3.6054
6.6697 8.8243 4.3194
6.4317 7.8323 1.5635
7.2093 5.9422 3.2660
7.3478 2.6444 5.5676
7.3729 2.6007 2.5730
```

Principal peaks in the range 2θ = 5–70°, sorted by position:
2θ/deg  d_spacing  intensity  (hkl)
23.46  3.792  67  0 1 2
23.66  3.761  61  1 1 2
28.03  3.183  92  2 0 1
31.92  2.804  100  0 2 -1
33.37  2.685  80  2 2 1
34.13  2.627  69  1 1 3
36.30  2.475  93  0 3 2
38.73  2.325  74  2 -2 0